Starting from the GGA-PBE geometry in Alexandria, the powder diffraction line list of La4HAu2 was simulated for λ = 1.5418 Å (Cu Kα).
Intensities are scaled so that the largest is 100.

Structure:
a = 4.8726 Å, b = 4.8726 Å, c = 15.9550 Å
α = 90.00°, β = 90.00°, γ = 90.00°
Fractional positions:
La: 0.0000 0.0000 0.1883
La: 0.0000 0.0000 0.8117
La: 0.0000 0.5000 0.0000
La: 0.0000 0.5000 0.5000
La: 0.5000 0.0000 0.0000
La: 0.5000 0.0000 0.5000
La: 0.5000 0.5000 0.3117
La: 0.5000 0.5000 0.6883
H: 0.0000 0.0000 0.0000
H: 0.5000 0.5000 0.5000
Au: 0.0000 0.0000 0.3691
Au: 0.0000 0.0000 0.6309
Au: 0.5000 0.5000 0.1309
Au: 0.5000 0.5000 0.8691

The 6 most intense peaks (10° ≤ 2θ ≤ 90°), in order of rising 2θ:
- d = 3.445 Å, rel. 38
- d = 3.163 Å, rel. 95
- d = 2.669 Å, rel. 57
- d = 2.607 Å, rel. 100
- d = 2.436 Å, rel. 85
- d = 1.798 Å, rel. 58

=====

Starting from the GGA-PBE geometry in Alexandria, the powder diffraction line list of Al7V5 was simulated for λ = 1.5418 Å (Cu Kα).
Intensities are scaled so that the largest is 100.

Structure:
a = 5.0387 Å, b = 5.0387 Å, c = 10.1182 Å
α = 107.90°, β = 107.90°, γ = 48.62°
Fractional positions:
Al: 0.0000 0.0000 0.0000
Al: 0.1821 0.1821 0.4223
Al: 0.2658 0.2658 0.2037
Al: 0.4433 0.4433 0.7669
Al: 0.5567 0.5567 0.2331
Al: 0.7342 0.7342 0.7963
Al: 0.8179 0.8179 0.5777
V: 0.1151 0.1151 0.6514
V: 0.3135 0.3135 0.9656
V: 0.5000 0.5000 0.5000
V: 0.6865 0.6865 0.0344
V: 0.8849 0.8849 0.3486

The 6 most intense peaks (10° ≤ 2θ ≤ 90°), in order of rising 2θ:
- d = 4.557 Å, rel. 17
- d = 2.263 Å, rel. 16
- d = 2.160 Å, rel. 100
- d = 2.156 Å, rel. 57
- d = 2.074 Å, rel. 37
- d = 1.495 Å, rel. 15

=====

Starting from the GGA-PBE geometry in Alexandria, the powder diffraction line list of Na8B11C5 was simulated for λ = 1.5418 Å (Cu Kα).
Intensities are scaled so that the largest is 100.

Structure:
a = 2.8902 Å, b = 2.8902 Å, c = 34.1086 Å
α = 90.00°, β = 90.00°, γ = 120.00°
Fractional positions:
Na: 0.0000 0.0000 0.0615
Na: 0.0000 0.0000 0.1845
Na: 0.0000 0.0000 0.3081
Na: 0.0000 0.0000 0.4357
Na: 0.0000 0.0000 0.5643
Na: 0.0000 0.0000 0.6919
Na: 0.0000 0.0000 0.8155
Na: 0.0000 0.0000 0.9385
B: 0.3333 0.6667 0.0000
B: 0.3333 0.6667 0.2461
B: 0.3333 0.6667 0.3718
B: 0.3333 0.6667 0.5000
B: 0.3333 0.6667 0.6282
B: 0.3333 0.6667 0.7539
B: 0.6667 0.3333 0.1230
B: 0.6667 0.3333 0.3718
B: 0.6667 0.3333 0.5000
B: 0.6667 0.3333 0.6282
B: 0.6667 0.3333 0.8770
C: 0.3333 0.6667 0.1230
C: 0.3333 0.6667 0.8770
C: 0.6667 0.3333 0.0000
C: 0.6667 0.3333 0.2460
C: 0.6667 0.3333 0.7540

The 6 most intense peaks (10° ≤ 2θ ≤ 90°), in order of rising 2θ:
- d = 2.503 Å, rel. 19
- d = 2.159 Å, rel. 100
- d = 2.132 Å, rel. 24
- d = 1.445 Å, rel. 18
- d = 1.201 Å, rel. 11
- d = 1.196 Å, rel. 16

=====

Starting from the GGA-PBE geometry in Alexandria, the powder diffraction line list of In3Sn5 was simulated for λ = 1.5418 Å (Cu Kα).
Intensities are scaled so that the largest is 100.

Structure:
a = 4.6180 Å, b = 4.8829 Å, c = 9.7448 Å
α = 90.00°, β = 90.00°, γ = 90.00°
Fractional positions:
In: 0.0000 0.0000 0.0000
In: 0.0000 0.5000 0.2490
In: 0.0000 0.5000 0.7510
Sn: 0.0000 0.0000 0.5000
Sn: 0.5000 0.0000 0.2475
Sn: 0.5000 0.0000 0.7525
Sn: 0.5000 0.5000 0.0000
Sn: 0.5000 0.5000 0.5000

The 6 most intense peaks (10° ≤ 2θ ≤ 90°), in order of rising 2θ:
- d = 2.763 Å, rel. 100
- d = 2.439 Å, rel. 35
- d = 2.309 Å, rel. 15
- d = 1.677 Å, rel. 23
- d = 1.464 Å, rel. 15
- d = 1.462 Å, rel. 14

=====

Starting from the GGA-PBE geometry in Alexandria, the powder diffraction line list of La3Zn6P2 was simulated for λ = 1.5418 Å (Cu Kα).
Intensities are scaled so that the largest is 100.

Structure:
a = 8.3565 Å, b = 8.3565 Å, c = 4.1837 Å
α = 90.00°, β = 90.00°, γ = 120.00°
Fractional positions:
La: 0.0000 0.4629 0.0000
La: 0.4629 0.0000 0.0000
La: 0.5371 0.5371 0.0000
Zn: 0.0000 0.1887 0.5000
Zn: 0.0000 0.8197 0.0000
Zn: 0.1803 0.1803 0.0000
Zn: 0.1887 0.0000 0.5000
Zn: 0.8113 0.8113 0.5000
Zn: 0.8197 0.0000 0.0000
P: 0.3333 0.6667 0.5000
P: 0.6667 0.3333 0.5000

The 6 most intense peaks (10° ≤ 2θ ≤ 90°), in order of rising 2θ:
- d = 4.182 Å, rel. 31
- d = 3.619 Å, rel. 37
- d = 2.736 Å, rel. 100
- d = 2.289 Å, rel. 68
- d = 2.091 Å, rel. 27
- d = 1.661 Å, rel. 27

=====

Starting from the GGA-PBE geometry in Alexandria, the powder diffraction line list of La2Ti2ZnO8 was simulated for λ = 1.5418 Å (Cu Kα).
Intensities are scaled so that the largest is 100.

Structure:
a = 3.7110 Å, b = 3.7110 Å, c = 12.8707 Å
α = 90.00°, β = 90.00°, γ = 90.00°
Fractional positions:
La: 0.0000 0.5000 0.1137
La: 0.5000 0.0000 0.8863
Ti: 0.0000 0.5000 0.7085
Ti: 0.5000 0.0000 0.2915
Zn: 0.0000 0.0000 0.5000
O: 0.0000 0.0000 0.2515
O: 0.0000 0.0000 0.7485
O: 0.0000 0.5000 0.5676
O: 0.0000 0.5000 0.9279
O: 0.5000 0.0000 0.0721
O: 0.5000 0.0000 0.4324
O: 0.5000 0.5000 0.2469
O: 0.5000 0.5000 0.7531

The 6 most intense peaks (10° ≤ 2θ ≤ 90°), in order of rising 2θ:
- d = 3.215 Å, rel. 100
- d = 2.807 Å, rel. 38
- d = 2.572 Å, rel. 54
- d = 2.034 Å, rel. 33
- d = 1.856 Å, rel. 35
- d = 1.607 Å, rel. 28